(1)
Starting from a DFT-relaxed cell (PBE, Alexandria), the powder X-ray diffraction pattern of Sr2AcAu4 was computed for λ = 1.5418 Å (Cu Kα).
Neutral-atom scattering factors, no anomalous dispersion.

The 10 most intense peaks (15 to 90 degrees two-theta), sorted by position:
2θ/deg  intensity
23.22  22
30.11  95
35.80  100
43.11  10
47.46  27
49.51  10
60.78  11
60.88  19
62.65  9
64.34  18

abc: 8.1273 8.1273 8.1273
angles: 109.54 109.54 109.34
Element x y z (fractional)
Sr1 0.3750 0.2470 0.3720
Sr2 0.7530 0.1250 0.1280
Sr3 0.8750 0.0030 0.6280
Sr4 0.9970 0.6250 0.8720
Ac1 0.2500 0.7500 0.5000
Ac2 0.5000 0.5000 0.0000
Au1 0.1292 0.3818 0.0845
Au2 0.1318 0.3792 0.5845
Au3 0.2973 0.0447 0.9155
Au4 0.4527 0.8682 0.2474
Au5 0.6182 0.7027 0.7474
Au6 0.6208 0.2053 0.7526
Au7 0.7947 0.5473 0.4155
Au8 0.9553 0.8708 0.2526



(2)
Starting from a DFT-relaxed cell (PBE, Alexandria), the powder X-ray diffraction pattern of Ga2Ni7Ge2 was computed for λ = 1.5418 Å (Cu Kα).
Neutral-atom scattering factors, no anomalous dispersion.

The 10 most intense peaks (15 to 90 degrees two-theta), sorted by position:
2θ/deg  intensity
31.47  9
36.01  6
37.51  5
44.80  94
45.40  100
59.27  8
65.69  28
76.37  6
83.46  27
83.89  15

abc: 3.9953 3.9953 9.9758
angles: 90.00 90.00 120.00
Element x y z (fractional)
Ga1 0.0000 0.0000 0.0000
Ga2 0.0000 0.0000 0.5000
Ni1 0.0000 0.0000 0.2470
Ni2 0.0000 0.0000 0.7530
Ni3 0.3333 0.6667 0.1240
Ni4 0.3333 0.6667 0.3749
Ni5 0.3333 0.6667 0.6251
Ni6 0.3333 0.6667 0.8760
Ni7 0.6667 0.3333 0.5000
Ge1 0.6667 0.3333 0.2392
Ge2 0.6667 0.3333 0.7608



(3)
Starting from a DFT-relaxed cell (PBE, Alexandria), the powder X-ray diffraction pattern of La2PrTlIr was computed for λ = 1.5418 Å (Cu Kα).
Neutral-atom scattering factors, no anomalous dispersion.

The 10 most intense peaks (15 to 90 degrees two-theta), sorted by position:
2θ/deg  intensity
22.34  47
22.72  24
27.60  85
31.24  55
32.34  100
45.59  78
46.39  37
54.84  25
57.00  40
85.46  26

abc: 5.5357 5.5357 5.7257
angles: 90.00 90.00 90.00
Element x y z (fractional)
La1 0.0000 0.5000 0.0000
La2 0.5000 0.0000 0.0000
Pr1 0.0000 0.0000 0.5003
Tl1 0.5000 0.5000 0.5026
Ir1 0.0000 0.0000 0.0003



(4)
Starting from a DFT-relaxed cell (PBE, Alexandria), the powder X-ray diffraction pattern of Pd2Au was computed for λ = 1.5418 Å (Cu Kα).
Neutral-atom scattering factors, no anomalous dispersion.

The 10 most intense peaks (15 to 90 degrees two-theta), sorted by position:
2θ/deg  intensity
38.72  100
38.89  99
44.72  33
44.89  33
45.71  31
65.87  21
66.00  21
78.28  13
78.57  25
78.85  13

abc: 9.0126 3.9696 5.7398
angles: 90.00 108.36 90.00
Element x y z (fractional)
Pd1 0.9995 0.0000 0.2439
Pd2 0.0005 0.0000 0.7561
Pd3 0.1657 0.5000 0.0806
Pd4 0.3343 0.0000 0.9194
Pd5 0.4995 0.5000 0.2439
Pd6 0.5005 0.5000 0.7561
Pd7 0.6657 0.0000 0.0806
Pd8 0.8343 0.5000 0.9194
Au1 0.1664 0.5000 0.5866
Au2 0.3336 0.0000 0.4134
Au3 0.6664 0.0000 0.5866
Au4 0.8336 0.5000 0.4134



(5)
Starting from a DFT-relaxed cell (PBE, Alexandria), the powder X-ray diffraction pattern of Br was computed for λ = 1.5418 Å (Cu Kα).
Neutral-atom scattering factors, no anomalous dispersion.

The 10 most intense peaks (15 to 90 degrees two-theta), sorted by position:
2θ/deg  intensity
18.49  29
19.27  23
20.83  100
22.86  20
23.84  39
25.47  21
26.28  14
28.27  15
41.85  16
42.39  39

abc: 4.9114 4.9137 11.6105
angles: 82.50 82.70 79.34
Element x y z (fractional)
Br1 0.0000 0.0000 0.0000
Br2 0.0249 0.5408 0.4863
Br3 0.1757 0.1744 0.6532
Br4 0.3413 0.8322 0.8270
Br5 0.6344 0.1529 0.1660
Br6 0.8514 0.3251 0.3262



(6)
Starting from a DFT-relaxed cell (PBE, Alexandria), the powder X-ray diffraction pattern of AcDyGa was computed for λ = 1.5418 Å (Cu Kα).
Neutral-atom scattering factors, no anomalous dispersion.

The 10 most intense peaks (15 to 90 degrees two-theta), sorted by position:
2θ/deg  intensity
21.51  21
28.46  100
28.95  59
33.49  21
34.53  54
37.32  59
47.91  30
51.01  27
53.81  21
61.99  23

abc: 4.8188 4.8188 8.0262
angles: 90.00 90.00 90.00
Element x y z (fractional)
Ac1 0.2500 0.2500 0.1410
Ac2 0.7500 0.7500 0.8590
Dy1 0.2500 0.7500 0.5000
Dy2 0.7500 0.2500 0.5000
Ga1 0.2500 0.2500 0.7347
Ga2 0.7500 0.7500 0.2653